Starting from DFT lattice parameters and positions (GGA-PBE), the powder XRD pattern of Sc5Al was simulated for Cu Kα (λ = 1.5418 Å).

Atomic structure:
```
data_Sc5Al
_chemical_formula_sum 'Sc5 Al1'
_space_group_name_H-M_alt 'P 1'
_space_group_IT_number 1
_cell_length_a 5.578
_cell_length_b 5.578
_cell_length_c 5.052
_cell_angle_alpha 90.00
_cell_angle_beta 90.00
_cell_angle_gamma 120.00
loop_
_space_group_symop_operation_xyz
'x,y,z'
loop_
_atom_site_label
_atom_site_fract_x
_atom_site_fract_y
_atom_site_fract_z
_atom_site_occupancy
Sc1 0.000 0.685 0.000 1
Sc2 0.315 0.315 0.000 1
Sc3 0.333 0.667 0.500 1
Sc4 0.667 0.333 0.500 1
Sc5 0.685 0.000 0.000 1
Al1 0.000 0.000 0.500 1
```

Peak list (12 most intense, 2θ from 15° to 90°, most intense first)
| (hkl) | 2theta | d_spacing | I_rel |
| --- | --- | --- | --- |
| 1 1 1 | 36.81 | 2.442 | 100 |
| 1 1 0 | 32.09 | 2.789 | 25 |
| 0 0 2 | 35.54 | 2.526 | 25 |
| 3 0 2 | 69.18 | 1.358 | 17 |
| 1 1 3 | 64.65 | 1.442 | 17 |
| 3 0 0 | 57.20 | 1.610 | 16 |
| 1 1 2 | 48.63 | 1.872 | 14 |
| 2 2 1 | 69.98 | 1.344 | 12 |
| 1 0 1 | 25.51 | 3.492 | 4 |
| 2 2 2 | 78.31 | 1.221 | 3 |
| 1 1 4 | 84.14 | 1.151 | 3 |
| 2 2 0 | 67.12 | 1.395 | 2 |